Starting from DFT lattice parameters and positions (PBE+U), the powder X-ray diffraction pattern of BaTl2Co3F12 was simulated for λ = 1.5418 Å (Cu Kα).

Peak list (8 most intense, 10° ≤ 2θ ≤ 80°, most intense first)
d = 3.168 Å, 28.17 deg, I 100
d = 3.830 Å, 23.23 deg, I 83
d = 3.014 Å, 29.64 deg, I 59
d = 2.014 Å, 45.00 deg, I 57
d = 3.255 Å, 27.40 deg, I 52
d = 1.915 Å, 47.48 deg, I 47
d = 1.616 Å, 56.98 deg, I 40
d = 3.566 Å, 24.97 deg, I 38

Crystal structure
a b c (Å): 7.166 7.166 7.166
angles (deg): 64.62 64.62 64.62
Fractional coordinates of all 18 atoms:
Ba 0.000 0.000 0.000
Tl 0.386 0.386 0.386
Tl 0.614 0.614 0.614
Co 0.000 0.000 0.500
Co 0.000 0.500 0.000
Co 0.500 0.000 0.000
F 0.101 0.734 0.734
F 0.136 0.136 0.555
F 0.136 0.555 0.136
F 0.266 0.266 0.899
F 0.266 0.899 0.266
F 0.445 0.864 0.864
F 0.555 0.136 0.136
F 0.734 0.101 0.734
F 0.734 0.734 0.101
F 0.864 0.445 0.864
F 0.864 0.864 0.445
F 0.899 0.266 0.266

---

Starting from DFT lattice parameters and positions (PBE+U), the powder X-ray diffraction pattern of BaTl2CoF6 was simulated for λ = 1.5418 Å (Cu Kα).

Peak list (8 most intense, 10° ≤ 2θ ≤ 80°, most intense first)
d = 3.259 Å, 27.37 deg, I 100
d = 2.304 Å, 39.10 deg, I 34
d = 3.052 Å, 29.26 deg, I 29
d = 3.042 Å, 29.36 deg, I 22
d = 3.509 Å, 25.38 deg, I 19
d = 1.799 Å, 50.73 deg, I 18
d = 7.018 Å, 12.61 deg, I 18
d = 2.542 Å, 35.30 deg, I 18

Crystal structure
a b c (Å): 6.105 9.221 7.018
angles (deg): 90.00 90.00 90.00
Fractional coordinates of all 20 atoms:
Ba 0.250 0.250 0.191
Ba 0.750 0.750 0.809
Tl 0.250 0.037 0.679
Tl 0.250 0.463 0.679
Tl 0.750 0.537 0.321
Tl 0.750 0.963 0.321
Co 0.250 0.750 0.293
Co 0.750 0.250 0.707
F 0.009 0.750 0.500
F 0.010 0.750 0.097
F 0.250 0.516 0.307
F 0.250 0.984 0.307
F 0.490 0.750 0.097
F 0.491 0.750 0.500
F 0.509 0.250 0.500
F 0.510 0.250 0.903
F 0.750 0.016 0.693
F 0.750 0.484 0.693
F 0.990 0.250 0.903
F 0.991 0.250 0.500

---

Starting from DFT lattice parameters and positions (PBE+U), the powder X-ray diffraction pattern of Ba2Ho2FeCo3O12 was simulated for λ = 1.5418 Å (Cu Kα).

Peak list (8 most intense, 10° ≤ 2θ ≤ 80°, most intense first)
d = 2.727 Å, 32.85 deg, I 100
d = 2.751 Å, 32.54 deg, I 52
d = 1.584 Å, 58.26 deg, I 39
d = 1.946 Å, 46.69 deg, I 33
d = 2.233 Å, 40.39 deg, I 26
d = 1.570 Å, 58.83 deg, I 20
d = 1.363 Å, 68.87 deg, I 16
d = 3.891 Å, 22.85 deg, I 15

Crystal structure
a b c (Å): 3.891 3.891 15.289
angles (deg): 90.00 90.00 90.00
Fractional coordinates of all 20 atoms:
Ba 0.000 0.000 0.000
Ba 0.000 0.000 0.499
Ho 0.000 0.000 0.247
Ho 0.000 0.000 0.761
Fe 0.500 0.500 0.631
Co 0.500 0.500 0.127
Co 0.500 0.500 0.371
Co 0.500 0.500 0.877
O 0.000 0.500 0.141
O 0.000 0.500 0.354
O 0.000 0.500 0.640
O 0.000 0.500 0.860
O 0.500 0.000 0.141
O 0.500 0.000 0.354
O 0.500 0.000 0.640
O 0.500 0.000 0.860
O 0.500 0.500 0.006
O 0.500 0.500 0.246
O 0.500 0.500 0.501
O 0.500 0.500 0.756

---

Starting from DFT lattice parameters and positions (PBE+U), the powder X-ray diffraction pattern of BaNdFeCoO6 was simulated for λ = 1.5418 Å (Cu Kα).

Peak list (8 most intense, 10° ≤ 2θ ≤ 80°, most intense first)
d = 2.781 Å, 32.19 deg, I 100
d = 2.764 Å, 32.39 deg, I 49
d = 1.599 Å, 57.65 deg, I 38
d = 1.954 Å, 46.46 deg, I 32
d = 2.266 Å, 39.78 deg, I 26
d = 1.609 Å, 57.27 deg, I 20
d = 1.390 Å, 67.35 deg, I 18
d = 1.978 Å, 45.87 deg, I 16

Crystal structure
a b c (Å): 3.909 3.909 7.913
angles (deg): 90.00 90.00 90.00
Fractional coordinates of all 10 atoms:
Ba 0.000 0.000 0.000
Nd 0.000 0.000 0.507
Fe 0.500 0.500 0.257
Co 0.500 0.500 0.752
O 0.000 0.500 0.279
O 0.000 0.500 0.726
O 0.500 0.000 0.279
O 0.500 0.000 0.726
O 0.500 0.500 0.005
O 0.500 0.500 0.510

---

Starting from DFT lattice parameters and positions (PBE+U), the powder X-ray diffraction pattern of BaFeCoPbO5 was simulated for λ = 1.5418 Å (Cu Kα).

Peak list (8 most intense, 10° ≤ 2θ ≤ 80°, most intense first)
d = 2.812 Å, 31.82 deg, I 100
d = 2.917 Å, 30.65 deg, I 30
d = 1.972 Å, 46.03 deg, I 24
d = 1.663 Å, 55.22 deg, I 21
d = 2.676 Å, 33.49 deg, I 21
d = 3.452 Å, 25.81 deg, I 16
d = 2.005 Å, 45.22 deg, I 15
d = 1.406 Å, 66.50 deg, I 15

Crystal structure
a b c (Å): 5.835 4.011 21.407
angles (deg): 90.00 90.00 90.00
Fractional coordinates of all 36 atoms:
Ba 0.001 0.250 0.187
Ba 0.499 0.750 0.687
Ba 0.501 0.250 0.313
Ba 0.999 0.750 0.813
Fe 0.003 0.250 0.945
Fe 0.497 0.750 0.445
Fe 0.503 0.250 0.555
Fe 0.997 0.750 0.055
Co 0.000 0.250 0.687
Co 0.000 0.750 0.313
Co 0.500 0.250 0.813
Co 0.500 0.750 0.187
Pb 0.001 0.250 0.427
Pb 0.499 0.750 0.927
Pb 0.501 0.250 0.073
Pb 0.999 0.750 0.573
O 0.001 0.250 0.320
O 0.015 0.750 0.960
O 0.236 0.750 0.390
O 0.245 0.250 0.610
O 0.248 0.250 0.750
O 0.252 0.750 0.250
O 0.255 0.750 0.110
O 0.264 0.250 0.890
O 0.485 0.250 0.460
O 0.499 0.750 0.820
O 0.501 0.250 0.180
O 0.515 0.750 0.540
O 0.736 0.750 0.110
O 0.745 0.250 0.890
O 0.748 0.250 0.750
O 0.752 0.750 0.250
O 0.755 0.750 0.390
O 0.764 0.250 0.610
O 0.985 0.250 0.040
O 0.999 0.750 0.680

---

Starting from DFT lattice parameters and positions (PBE+U), the powder X-ray diffraction pattern of BaSr7Fe6Co2O24 was simulated for λ = 1.5418 Å (Cu Kα).

Peak list (8 most intense, 10° ≤ 2θ ≤ 80°, most intense first)
d = 2.772 Å, 32.30 deg, I 100
d = 1.599 Å, 57.66 deg, I 25
d = 1.956 Å, 46.42 deg, I 25
d = 1.387 Å, 67.53 deg, I 14
d = 2.263 Å, 39.84 deg, I 13
d = 1.967 Å, 46.15 deg, I 13
d = 1.603 Å, 57.49 deg, I 13
d = 1.238 Å, 77.06 deg, I 11

Crystal structure
a b c (Å): 7.868 7.825 7.825
angles (deg): 90.03 90.00 90.00
Fractional coordinates of all 40 atoms:
Ba 0.000 0.000 0.000
Sr 0.000 0.001 0.496
Sr 0.000 0.496 0.001
Sr 0.000 0.497 0.497
Sr 0.500 0.000 0.495
Sr 0.500 0.495 0.000
Sr 0.500 0.496 0.496
Sr 0.500 0.999 0.999
Fe 0.251 0.249 0.746
Fe 0.251 0.746 0.249
Fe 0.251 0.747 0.747
Fe 0.749 0.249 0.746
Fe 0.749 0.746 0.249
Fe 0.749 0.747 0.747
Co 0.252 0.249 0.249
Co 0.748 0.249 0.249
O 0.000 0.250 0.739
O 0.000 0.261 0.261
O 0.000 0.739 0.250
O 0.000 0.745 0.745
O 0.249 0.006 0.253
O 0.249 0.253 0.006
O 0.249 0.496 0.746
O 0.249 0.746 0.496
O 0.255 0.744 0.999
O 0.255 0.999 0.744
O 0.258 0.248 0.490
O 0.258 0.490 0.248
O 0.500 0.239 0.239
O 0.500 0.251 0.751
O 0.500 0.744 0.744
O 0.500 0.751 0.251
O 0.742 0.248 0.490
O 0.742 0.490 0.248
O 0.745 0.744 0.999
O 0.745 0.999 0.744
O 0.751 0.006 0.253
O 0.751 0.253 0.006
O 0.751 0.496 0.746
O 0.751 0.746 0.496

---

Starting from DFT lattice parameters and positions (PBE+U), the powder X-ray diffraction pattern of BaSr7Fe7CoO24 was simulated for λ = 1.5418 Å (Cu Kα).

Peak list (8 most intense, 10° ≤ 2θ ≤ 80°, most intense first)
d = 2.775 Å, 32.26 deg, I 100
d = 1.602 Å, 57.53 deg, I 38
d = 1.962 Å, 46.27 deg, I 38
d = 1.387 Å, 67.51 deg, I 22
d = 1.241 Å, 76.81 deg, I 16
d = 2.266 Å, 39.78 deg, I 14
d = 3.924 Å, 22.66 deg, I 1
d = 1.755 Å, 52.11 deg, I 1

Crystal structure
a b c (Å): 7.849 7.849 7.849
angles (deg): 90.04 90.04 90.04
Fractional coordinates of all 40 atoms:
Ba 0.000 0.000 0.000
Sr 0.000 0.000 0.502
Sr 0.000 0.502 0.000
Sr 0.000 0.502 0.502
Sr 0.502 0.000 0.000
Sr 0.502 0.000 0.502
Sr 0.502 0.502 0.000
Sr 0.502 0.502 0.502
Fe 0.252 0.252 0.252
Fe 0.252 0.252 0.750
Fe 0.252 0.750 0.252
Fe 0.252 0.750 0.750
Fe 0.750 0.252 0.252
Fe 0.750 0.252 0.750
Fe 0.750 0.750 0.252
Co 0.750 0.750 0.750
O 0.000 0.255 0.747
O 0.000 0.747 0.255
O 0.001 0.255 0.255
O 0.252 0.252 0.501
O 0.252 0.501 0.252
O 0.253 0.502 0.750
O 0.253 0.750 0.502
O 0.255 0.000 0.747
O 0.255 0.001 0.255
O 0.255 0.255 0.001
O 0.255 0.747 0.000
O 0.501 0.252 0.252
O 0.502 0.253 0.750
O 0.502 0.750 0.253
O 0.507 0.750 0.750
O 0.746 0.746 0.995
O 0.746 0.995 0.746
O 0.747 0.000 0.255
O 0.747 0.255 0.000
O 0.750 0.253 0.502
O 0.750 0.502 0.253
O 0.750 0.507 0.750
O 0.750 0.750 0.507
O 0.995 0.746 0.746